The following is a simulated PXRD pattern of Na4CaP6O18. It was derived from a crystal structure in the Materials Project, relaxed with GGA-PBE, using Cu Kα (λ = 1.5418 Å).
No peak broadening, texture or thermal motion is included.

Most intense lines, 5 to 70 degrees two-theta, most intense first:
2θ/deg, I (rel.)
28.79, 100
17.47, 56
30.55, 55
25.35, 31
35.18, 29
23.36, 25
48.87, 24
22.09, 24
27.25, 22
26.74, 20

Structural model:
a b c (Å): 7.7812 7.7812 14.4688
angles (deg): 93.70 93.70 62.84
Atoms (fractional coordinates):
Na: 0.0393 0.2851 0.4546
Na: 0.2088 0.4591 0.0834
Na: 0.2851 0.0393 0.9546
Na: 0.4591 0.2088 0.5834
Na: 0.5409 0.7912 0.4166
Na: 0.7149 0.9607 0.0454
Na: 0.7912 0.5409 0.9166
Na: 0.9607 0.7149 0.5454
Ca: 0.1224 0.8776 0.2500
Ca: 0.8776 0.1224 0.7500
P: 0.1051 0.7210 0.8888
P: 0.1341 0.4109 0.7525
P: 0.2790 0.8949 0.6112
P: 0.3555 0.4583 0.3849
P: 0.4109 0.1341 0.2525
P: 0.4583 0.3555 0.8849
P: 0.5417 0.6445 0.1151
P: 0.5891 0.8659 0.7475
P: 0.6445 0.5417 0.6151
P: 0.7210 0.1051 0.3888
P: 0.8659 0.5891 0.2475
P: 0.8949 0.2790 0.1112
O: 0.0049 0.6875 0.9656
O: 0.0344 0.3184 0.8019
O: 0.0560 0.6347 0.7907
O: 0.0723 0.9222 0.8716
O: 0.0778 0.9277 0.6284
O: 0.1300 0.4070 0.6493
O: 0.2586 0.4213 0.4620
O: 0.3125 0.9951 0.5344
O: 0.3133 0.6610 0.3653
O: 0.3184 0.0344 0.3019
O: 0.3203 0.3604 0.2876
O: 0.3379 0.5896 0.9002
O: 0.3390 0.6867 0.1347
O: 0.3604 0.3203 0.7876
O: 0.3653 0.9440 0.7093
O: 0.4070 0.1300 0.1493
O: 0.4104 0.6621 0.5998
O: 0.4213 0.2586 0.9620
O: 0.5787 0.7414 0.0380
O: 0.5896 0.3379 0.4002
O: 0.5930 0.8700 0.8507
O: 0.6347 0.0560 0.2907
O: 0.6396 0.6797 0.2124
O: 0.6610 0.3133 0.8653
O: 0.6621 0.4104 0.0998
O: 0.6797 0.6396 0.7124
O: 0.6816 0.9656 0.6981
O: 0.6867 0.3390 0.6347
O: 0.6875 0.0049 0.4656
O: 0.7414 0.5787 0.5380
O: 0.8700 0.5930 0.3507
O: 0.9222 0.0723 0.3716
O: 0.9277 0.0778 0.1284
O: 0.9440 0.3653 0.2093
O: 0.9656 0.6816 0.1981
O: 0.9951 0.3125 0.0344